Structure and theoretical powder diffraction line list of Cd5PdAu8 (a structure optimized by DFT (PBE); Cu Ka).

Main lines, by intensity (2θ from 10° to 80°):
2θ/deg, I_rel
40.89, 100
34.34, 97
54.42, 28
26.44, 28
56.84, 18
70.21, 18
74.42, 11
70.35, 9
72.31, 7
78.51, 7

Atomic structure:
```
data_Cd5PdAu8
_chemical_formula_sum 'Cd5 Pd1 Au8'
_space_group_name_H-M_alt 'P 1'
_space_group_IT_number 1
_cell_length_a 7.152
_cell_length_b 7.152
_cell_length_c 7.152
_cell_angle_alpha 109.40
_cell_angle_beta 109.40
_cell_angle_gamma 109.60
loop_
_space_group_symop_operation_xyz
'x,y,z'
loop_
_atom_site_label
_atom_site_type_symbol
_atom_site_fract_x
_atom_site_fract_y
_atom_site_fract_z
Cd1 Cd 0.000 0.000 0.000
Cd2 Cd 0.254 0.132 0.639
Cd3 Cd 0.385 0.746 0.878
Cd4 Cd 0.494 0.615 0.361
Cd5 Cd 0.868 0.506 0.122
Pd1 Pd 0.750 0.250 0.500
Au1 Au 0.109 0.373 0.912
Au2 Au 0.120 0.377 0.421
Au3 Au 0.301 0.880 0.257
Au4 Au 0.460 0.196 0.088
Au5 Au 0.623 0.044 0.743
Au6 Au 0.627 0.540 0.736
Au7 Au 0.804 0.891 0.264
Au8 Au 0.956 0.699 0.579
```